# 1
Theoretical X-ray powder pattern
Compound: SrLu2S4
Radiation: λ = 1.5418 Å (Cu Kα)
Structure: the PBE geometry in the Materials Project
Neutral-atom scattering factors, no anomalous dispersion.

Atomic structure:
Cell lengths 11.982, 3.928, 14.135 Å; angles 90.00, 90.00, 90.00 degrees
Element x y z (fractional)
Sr1 0.239 0.250 0.166
Sr2 0.261 0.750 0.666
Sr3 0.739 0.250 0.334
Sr4 0.761 0.750 0.834
Lu1 0.061 0.250 0.390
Lu2 0.082 0.250 0.901
Lu3 0.418 0.750 0.401
Lu4 0.439 0.750 0.890
Lu5 0.561 0.250 0.110
Lu6 0.582 0.250 0.599
Lu7 0.918 0.750 0.099
Lu8 0.939 0.750 0.610
S1 0.027 0.750 0.784
S2 0.089 0.250 0.577
S3 0.126 0.750 0.029
S4 0.205 0.750 0.334
S5 0.295 0.250 0.834
S6 0.374 0.250 0.529
S7 0.411 0.750 0.077
S8 0.473 0.250 0.284
S9 0.527 0.750 0.716
S10 0.589 0.250 0.923
S11 0.626 0.750 0.471
S12 0.705 0.750 0.166
S13 0.795 0.250 0.666
S14 0.874 0.250 0.971
S15 0.911 0.750 0.423
S16 0.973 0.250 0.216

Top 6 peaks for 2θ = 10–80°, in order of falling intensity:
- 25.6 deg, I = 100
- 27.0 deg, I = 97
- 37.4 deg, I = 55
- 46.2 deg, I = 47
- 25.2 deg, I = 46
- 27.1 deg, I = 44



# 2
Theoretical X-ray powder pattern
Compound: LuSb3
Radiation: λ = 1.5418 Å (Cu Kα)
Structure: the PBE geometry in the Materials Project
Neutral-atom scattering factors, no anomalous dispersion.

Atomic structure:
Cell lengths 6.536, 6.536, 5.795 Å; angles 90.00, 90.00, 120.00 degrees
Element x y z (fractional)
Lu1 0.333 0.667 0.250
Lu2 0.667 0.333 0.750
Sb1 0.176 0.351 0.750
Sb2 0.176 0.824 0.750
Sb3 0.351 0.176 0.250
Sb4 0.649 0.824 0.750
Sb5 0.824 0.176 0.250
Sb6 0.824 0.649 0.250

Top 6 peaks for 2θ = 10–80°, in order of falling intensity:
- 35.3 deg, I = 100
- 30.9 deg, I = 32
- 57.8 deg, I = 24
- 31.6 deg, I = 22
- 65.6 deg, I = 21
- 44.8 deg, I = 17



# 3
Theoretical X-ray powder pattern
Compound: LuSb2
Radiation: λ = 1.5418 Å (Cu Kα)
Structure: the PBE geometry in the Materials Project
Neutral-atom scattering factors, no anomalous dispersion.

Atomic structure:
Cell lengths 3.286, 6.310, 8.629 Å; angles 90.00, 90.00, 90.00 degrees
Element x y z (fractional)
Lu1 0.000 0.000 0.000
Lu2 0.500 0.500 0.000
Sb1 0.250 0.250 0.289
Sb2 0.250 0.750 0.711
Sb3 0.750 0.250 0.711
Sb4 0.750 0.750 0.289

Top 6 peaks for 2θ = 10–80°, in order of falling intensity:
- 32.4 deg, I = 100
- 35.2 deg, I = 70
- 10.3 deg, I = 55
- 52.8 deg, I = 46
- 30.2 deg, I = 38
- 31.1 deg, I = 37



# 4
Theoretical X-ray powder pattern
Compound: LuSb
Radiation: λ = 1.5418 Å (Cu Kα)
Structure: the PBE geometry in the Materials Project
Neutral-atom scattering factors, no anomalous dispersion.

Atomic structure:
Cell lengths 3.741, 3.741, 3.741 Å; angles 90.00, 90.00, 90.00 degrees
Element x y z (fractional)
Lu1 0.000 0.000 0.000
Sb1 0.500 0.500 0.500

Top 6 peaks for 2θ = 10–80°, in order of falling intensity:
- 33.9 deg, I = 100
- 60.6 deg, I = 37
- 48.7 deg, I = 18
- 71.3 deg, I = 12
- 23.8 deg, I = 4
- 54.9 deg, I = 2



# 5
Theoretical X-ray powder pattern
Compound: Lu7Sb3
Radiation: λ = 1.5418 Å (Cu Kα)
Structure: the PBE geometry in the Materials Project
Neutral-atom scattering factors, no anomalous dispersion.

Atomic structure:
Cell lengths 11.976, 11.976, 11.976 Å; angles 97.88, 97.88, 136.54 degrees
Element x y z (fractional)
Lu1 0.017 0.664 0.682
Lu2 0.029 0.859 0.500
Lu3 0.117 0.123 0.240
Lu4 0.123 0.883 0.007
Lu5 0.141 0.641 0.170
Lu6 0.164 0.517 0.682
Lu7 0.250 0.250 0.000
Lu8 0.250 0.750 0.500
Lu9 0.336 0.017 0.353
Lu10 0.359 0.529 0.500
Lu11 0.377 0.383 0.760
Lu12 0.383 0.623 0.007
Lu13 0.471 0.971 0.830
Lu14 0.483 0.164 0.647
Lu15 0.517 0.836 0.353
Lu16 0.529 0.029 0.170
Lu17 0.617 0.377 0.993
Lu18 0.623 0.617 0.240
Lu19 0.641 0.471 0.500
Lu20 0.664 0.983 0.647
Lu21 0.750 0.250 0.500
Lu22 0.750 0.750 0.000
Lu23 0.836 0.483 0.318
Lu24 0.859 0.359 0.830
Lu25 0.877 0.117 0.993
Lu26 0.883 0.877 0.760
Lu27 0.971 0.141 0.500
Lu28 0.983 0.336 0.318
Sb1 0.053 0.250 0.803
Sb2 0.220 0.720 0.939
Sb3 0.250 0.053 0.803
Sb4 0.250 0.447 0.197
Sb5 0.280 0.220 0.500
Sb6 0.447 0.250 0.197
Sb7 0.553 0.750 0.803
Sb8 0.720 0.780 0.500
Sb9 0.750 0.553 0.803
Sb10 0.750 0.947 0.197
Sb11 0.780 0.280 0.061
Sb12 0.947 0.750 0.197

Top 6 peaks for 2θ = 10–80°, in order of falling intensity:
- 31.5 deg, I = 100
- 32.5 deg, I = 45
- 35.4 deg, I = 40
- 34.2 deg, I = 39
- 32.2 deg, I = 27
- 40.7 deg, I = 25



# 6
Theoretical X-ray powder pattern
Compound: LuSb
Radiation: λ = 1.5418 Å (Cu Kα)
Structure: the PBE geometry in the Materials Project
Neutral-atom scattering factors, no anomalous dispersion.

Atomic structure:
Cell lengths 6.101, 6.101, 6.101 Å; angles 90.00, 90.00, 90.00 degrees
Element x y z (fractional)
Lu1 0.000 0.000 0.000
Lu2 0.000 0.500 0.500
Lu3 0.500 0.000 0.500
Lu4 0.500 0.500 0.000
Sb1 0.000 0.000 0.500
Sb2 0.000 0.500 0.000
Sb3 0.500 0.000 0.000
Sb4 0.500 0.500 0.500

Top 6 peaks for 2θ = 10–80°, in order of falling intensity:
- 29.3 deg, I = 100
- 41.9 deg, I = 76
- 68.8 deg, I = 35
- 51.9 deg, I = 27
- 76.5 deg, I = 26
- 60.7 deg, I = 13



# 7
Theoretical X-ray powder pattern
Compound: LuZrSb
Radiation: λ = 1.5418 Å (Cu Kα)
Structure: the PBE geometry in the Materials Project
Neutral-atom scattering factors, no anomalous dispersion.

Atomic structure:
Cell lengths 4.261, 4.261, 16.297 Å; angles 90.00, 90.00, 90.00 degrees
Element x y z (fractional)
Lu1 0.000 0.000 0.175
Lu2 0.000 0.000 0.825
Lu3 0.500 0.500 0.325
Lu4 0.500 0.500 0.675
Zr1 0.000 0.500 0.000
Zr2 0.000 0.500 0.500
Zr3 0.500 0.000 0.000
Zr4 0.500 0.000 0.500
Sb1 0.000 0.000 0.363
Sb2 0.000 0.000 0.637
Sb3 0.500 0.500 0.137
Sb4 0.500 0.500 0.863

Top 6 peaks for 2θ = 10–80°, in order of falling intensity:
- 37.1 deg, I = 100
- 31.7 deg, I = 98
- 42.4 deg, I = 74
- 29.6 deg, I = 52
- 34.6 deg, I = 50
- 33.0 deg, I = 47



# 8
Theoretical X-ray powder pattern
Compound: Lu3Sc
Radiation: λ = 1.5418 Å (Cu Kα)
Structure: the PBE geometry in the Materials Project
Neutral-atom scattering factors, no anomalous dispersion.

Atomic structure:
Cell lengths 6.945, 6.945, 5.415 Å; angles 90.00, 90.00, 120.00 degrees
Element x y z (fractional)
Lu1 0.168 0.337 0.250
Lu2 0.168 0.832 0.250
Lu3 0.337 0.168 0.750
Lu4 0.663 0.832 0.250
Lu5 0.832 0.168 0.750
Lu6 0.832 0.663 0.750
Sc1 0.333 0.667 0.750
Sc2 0.667 0.333 0.250

Top 6 peaks for 2θ = 10–80°, in order of falling intensity:
- 34.1 deg, I = 100
- 33.1 deg, I = 24
- 29.7 deg, I = 24
- 63.7 deg, I = 22
- 59.8 deg, I = 20
- 52.7 deg, I = 19



Repeat the sixth record exactly.
Theoretical X-ray powder pattern
Compound: LuSb
Radiation: λ = 1.5418 Å (Cu Kα)
Structure: the PBE geometry in the Materials Project
Neutral-atom scattering factors, no anomalous dispersion.

Atomic structure:
Cell lengths 6.101, 6.101, 6.101 Å; angles 90.00, 90.00, 90.00 degrees
Element x y z (fractional)
Lu1 0.000 0.000 0.000
Lu2 0.000 0.500 0.500
Lu3 0.500 0.000 0.500
Lu4 0.500 0.500 0.000
Sb1 0.000 0.000 0.500
Sb2 0.000 0.500 0.000
Sb3 0.500 0.000 0.000
Sb4 0.500 0.500 0.500

Top 6 peaks for 2θ = 10–80°, in order of falling intensity:
- 29.3 deg, I = 100
- 41.9 deg, I = 76
- 68.8 deg, I = 35
- 51.9 deg, I = 27
- 76.5 deg, I = 26
- 60.7 deg, I = 13